(1)
Diffraction record for NbMo2Se2S4. The powder X-ray diffraction pattern is theoretical, not measured: it uses a DFT-relaxed cell (GGA-PBE, Alexandria) and Cu Kα (λ = 1.5418 Å).

Most intense lines, 2θ from 10° to 90°, in order of rising 2θ:
hkl  d [Å]  I (rel.)
0 0 3  7.112  100
1 0 0  2.838  28
1 0 3  2.636  16
0 1 4  2.506  14
1 0 5  2.363  49
0 1 6  2.218  12
1 0 8  1.944  29
1 1 0  1.639  21
1 1 3  1.597  11
0 2 5  1.347  10

Atomic structure:
a b c (Å): 3.2776 3.2776 21.3353
angles (deg): 90.00 90.00 120.00
Space group P3m1 (No. 156)
Symmetry-distinct sites (fractional):
Nb 0.0000 0.0000 0.0000 [1 per cell]
Mo 0.0000 0.0000 0.6465 [1 per cell]
Mo 0.6667 0.3333 0.3256 [1 per cell]
Se 0.6667 0.3333 0.0826 [1 per cell]
Se 0.6667 0.3333 0.9172 [1 per cell]
S 0.0000 0.0000 0.2536 [1 per cell]
S 0.0000 0.0000 0.3976 [1 per cell]
S 0.6667 0.3333 0.5745 [1 per cell]
S 0.6667 0.3333 0.7186 [1 per cell]

(2)
Diffraction record for RbTh2F9. The powder X-ray diffraction pattern is theoretical, not measured: it uses a DFT-relaxed cell (GGA-PBE, Alexandria) and Cu Kα (λ = 1.5418 Å).

Most intense lines, 2θ from 10° to 90°, in order of rising 2θ:
hkl  d [Å]  I (rel.)
0 2 0  6.006  100
2 0 1  3.805  52
2 2 0  3.586  46
0 3 1  3.505  71
1 0 2  3.358  71
2 2 1  3.214  53
1 2 2  2.931  48
1 3 3  2.014  54
3 3 2  1.996  49
4 3 0  1.953  40

Atomic structure:
a b c (Å): 8.942 12.012 7.246
angles (deg): 90.00 90.00 90.00
Space group Pnma (No. 62)
Symmetry-distinct sites (fractional):
Rb 0.034 0.250 0.140 [4 per cell]
Th 0.175 0.052 0.651 [8 per cell]
F 0.007 0.596 0.574 [8 per cell]
F 0.064 0.579 0.195 [8 per cell]
F 0.176 0.250 0.659 [4 per cell]
F 0.212 0.093 0.968 [8 per cell]
F 0.220 0.603 0.852 [8 per cell]

(3)
Diffraction record for ScTaPb2. The powder X-ray diffraction pattern is theoretical, not measured: it uses a DFT-relaxed cell (GGA-PBE, Alexandria) and Cu Kα (λ = 1.5418 Å).

Most intense lines, 2θ from 10° to 90°, in order of rising 2θ:
hkl  d [Å]  I (rel.)
0 0 1  8.804  23
0 2 0  2.611  26
1 1 2  2.583  100
0 0 4  2.201  16
2 0 0  2.015  12
0 2 4  1.683  14
2 2 0  1.595  12
1 3 2  1.502  19
1 1 6  1.333  13
2 2 4  1.292  12

Atomic structure:
a b c (Å): 4.030 5.223 8.804
angles (deg): 90.00 90.00 90.00
Space group Cmmm (No. 65)
Symmetry-distinct sites (fractional):
Sc 0.000 0.000 0.000 [2 per cell]
Ta 0.000 0.000 0.500 [2 per cell]
Pb 0.000 0.500 0.256 [4 per cell]

(4)
Diffraction record for BaPaRhSe4. The powder X-ray diffraction pattern is theoretical, not measured: it uses a DFT-relaxed cell (GGA-PBE, Alexandria) and Cu Kα (λ = 1.5418 Å).

Most intense lines, 2θ from 10° to 90°, in order of rising 2θ:
hkl  d [Å]  I (rel.)
0 0 1  8.654  100
1 1 0  4.485  43
2 0 -2  3.066  57
0 2 0  3.047  49
1 1 2  2.861  81
1 2 0  2.768  34
2 1 -2  2.739  61
0 2 2  2.491  38
1 0 -4  2.244  87
2 1 2  2.184  38

Atomic structure:
a b c (Å): 6.889 6.094 8.997
angles (deg): 90.00 105.88 90.00
Space group P2_1/m (No. 11)
Symmetry-distinct sites (fractional):
Ba 0.246 0.250 0.053 [2 per cell]
Pa 0.259 0.250 0.552 [2 per cell]
Rh 0.242 0.750 0.353 [2 per cell]
Se 0.031 0.513 0.718 [4 per cell]
Se 0.442 0.750 0.156 [2 per cell]
Se 0.448 0.750 0.614 [2 per cell]

(5)
Diffraction record for AcCeSiPt. The powder X-ray diffraction pattern is theoretical, not measured: it uses a DFT-relaxed cell (GGA-PBE, Alexandria) and Cu Kα (λ = 1.5418 Å).

Most intense lines, 2θ from 10° to 90°, in order of rising 2θ:
hkl  d [Å]  I (rel.)
1 1 1  4.295  22
2 0 0  3.720  7
2 2 0  2.630  100
3 1 1  2.243  13
4 0 0  1.860  18
3 3 1  1.707  6
4 2 2  1.519  38
5 1 1  1.432  4
4 4 0  1.315  12
6 2 0  1.176  17

Atomic structure:
a b c (Å): 7.440 7.440 7.440
angles (deg): 90.00 90.00 90.00
Space group F-43m (No. 216)
Symmetry-distinct sites (fractional):
Ac 0.000 0.000 0.000 [4 per cell]
Ce 0.000 0.000 0.500 [4 per cell]
Si 0.250 0.250 0.250 [4 per cell]
Pt 0.250 0.250 0.750 [4 per cell]